# Tb2CF
Calculated powder diffractogram, Cu Kα. Input: a structure optimized by DFT (GGA-PBE).
Kinematic intensities with the Lorentz-polarization factor, no thermal factor.

Structure:
Cell lengths 6.378, 3.635, 6.382 Å; angles 90.00, 90.45, 90.00 degrees
Positions (direct):
Tb1 0.204 0.000 0.332
Tb2 0.218 0.500 0.838
Tb3 0.782 0.500 0.162
Tb4 0.796 0.000 0.668
C1 0.000 0.000 0.000
C2 0.000 0.500 0.500
F1 0.408 0.500 0.177
F2 0.592 0.500 0.823

Top 10 peaks for 2θ from 15° to 90°, low angle first:
| Position (°2θ) | I/Imax |
| --- | --- |
| 27.98 | 83 |
| 28.25 | 47 |
| 31.24 | 52 |
| 31.45 | 41 |
| 31.56 | 74 |
| 31.66 | 100 |
| 40.11 | 88 |
| 49.66 | 45 |
| 51.94 | 39 |
| 57.78 | 24 |

=====

# Tm2CF
Calculated powder diffractogram, Cu Kα. Input: a structure optimized by DFT (GGA-PBE).
Kinematic intensities with the Lorentz-polarization factor, no thermal factor.

Structure:
Cell lengths 6.481, 6.481, 6.481 Å; angles 31.16, 31.16, 31.16 degrees
Positions (direct):
Tm1 0.000 0.000 0.000
Tm2 0.195 0.195 0.195
C1 0.596 0.596 0.596
F1 0.770 0.770 0.770

Top 10 peaks for 2θ from 15° to 90°, low angle first:
| Position (°2θ) | I/Imax |
| --- | --- |
| 28.98 | 37 |
| 30.03 | 98 |
| 31.20 | 18 |
| 35.55 | 64 |
| 38.53 | 100 |
| 52.57 | 42 |
| 58.58 | 27 |
| 61.15 | 29 |
| 67.04 | 19 |
| 70.98 | 16 |

=====

# TmCF
Calculated powder diffractogram, Cu Kα. Input: a structure optimized by DFT (GGA-PBE).
Kinematic intensities with the Lorentz-polarization factor, no thermal factor.

Structure:
Cell lengths 6.354, 6.662, 3.719 Å; angles 90.00, 90.00, 90.00 degrees
Positions (direct):
Tm1 0.230 0.026 0.250
Tm2 0.230 0.474 0.750
Tm3 0.770 0.526 0.250
Tm4 0.770 0.974 0.750
C1 0.036 0.750 0.000
C2 0.036 0.750 0.500
C3 0.964 0.250 0.000
C4 0.964 0.250 0.500
F1 0.414 0.106 0.750
F2 0.414 0.394 0.250
F3 0.586 0.606 0.750
F4 0.586 0.894 0.250

Top 10 peaks for 2θ from 15° to 90°, low angle first:
| Position (°2θ) | I/Imax |
| --- | --- |
| 26.76 | 34 |
| 28.08 | 27 |
| 30.92 | 100 |
| 39.18 | 28 |
| 48.99 | 9 |
| 49.94 | 25 |
| 51.51 | 28 |
| 56.69 | 11 |
| 57.42 | 9 |
| 64.44 | 11 |

=====

# Fe3C4
Calculated powder diffractogram, Cu Kα. Input: a structure optimized by DFT (GGA-PBE).
Kinematic intensities with the Lorentz-polarization factor, no thermal factor.

Structure:
Cell lengths 5.325, 5.325, 2.577 Å; angles 90.00, 90.00, 120.00 degrees
Positions (direct):
Fe1 0.000 0.500 0.000
Fe2 0.500 0.000 0.000
Fe3 0.500 0.500 0.000
C1 0.000 0.000 0.250
C2 0.000 0.000 0.750
C3 0.333 0.667 0.500
C4 0.667 0.333 0.500

Top 10 peaks for 2θ from 15° to 90°, low angle first:
| Position (°2θ) | I/Imax |
| --- | --- |
| 19.25 | 40 |
| 34.81 | 32 |
| 39.07 | 100 |
| 40.08 | 13 |
| 49.21 | 17 |
| 53.31 | 75 |
| 70.78 | 19 |
| 81.36 | 14 |
| 83.94 | 9 |
| 86.53 | 11 |